[1]
For Nd4AgHg2Pd, a structure optimized by DFT (PBE) gives the theoretical PXRD pattern in this record (a wavelength of 1.5418 Å).
Lines closer than 0.1° are merged.

Peak list (6 most intense, 5 to 70 degrees two-theta, sorted by position)
two_theta	I_rel	index
20.4	7	0 1 2
33.6	100	1 1 0
33.7	94	0 1 8
48.4	34	2 0 8
60.1	54	3 0 0
60.4	15	1 0 16

Lattice parameters (Å, degrees): 5.3336 5.3336 25.9838 90.00 90.00 120.00
Space group R-3m (No. 166, hexagonal axes)
Inequivalent atoms, fractional coordinates:
Nd1 0.0000 0.0000 0.1202 [6 per cell]
Nd2 0.0000 0.0000 0.3713 [6 per cell]
Ag1 0.0000 0.0000 0.5000 [3 per cell]
Hg1 0.0000 0.0000 0.2447 [6 per cell]
Pd1 0.0000 0.0000 0.0000 [3 per cell]

---

[2]
For NbNiPtRh2, a structure optimized by DFT (PBE) gives the theoretical PXRD pattern in this record (a wavelength of 1.5418 Å).
Lines closer than 0.1° are merged.

Peak list (6 most intense, 5 to 70 degrees two-theta, sorted by position)
two_theta	I_rel	index
24.3	26	0 1 1
37.9	18	0 0 3
38.7	22	2 0 -2
42.4	36	0 2 0
43.7	41	0 1 3
44.3	100	2 1 1

Lattice parameters (Å, degrees): 5.341 4.264 7.242 90.00 100.65 90.00
Space group P2_1/m (No. 11)
Inequivalent atoms, fractional coordinates:
Nb1 0.177 0.250 0.271 [2 per cell]
Ni1 0.131 0.750 0.043 [2 per cell]
Pt1 0.463 0.750 0.378 [2 per cell]
Rh1 0.056 0.250 0.624 [2 per cell]
Rh2 0.365 0.250 0.948 [2 per cell]

---

[3]
For SbAu6, a structure optimized by DFT (PBE) gives the theoretical PXRD pattern in this record (a wavelength of 1.5418 Å).
Lines closer than 0.1° are merged.

Peak list (6 most intense, 5 to 70 degrees two-theta, sorted by position)
two_theta	I_rel	index
16.9	51	1 1 0
24.0	42	2 0 0
29.5	100	2 1 1
42.2	55	2 2 2
45.7	61	3 2 1
49.1	40	4 0 0

Lattice parameters (Å, degrees): 7.423 7.423 7.423 90.00 90.00 90.00
Space group Im-3m (No. 229)
Inequivalent atoms, fractional coordinates:
Sb1 0.000 0.000 0.000 [2 per cell]
Au1 0.000 0.250 0.500 [12 per cell]

---

[4]
For Pr6NdEr6, a structure optimized by DFT (PBE) gives the theoretical PXRD pattern in this record (a wavelength of 1.5418 Å).
Lines closer than 0.1° are merged.

Peak list (6 most intense, 5 to 70 degrees two-theta, sorted by position)
two_theta	I_rel	index
30.6	58	2 0 0
30.7	79	1 1 2
31.1	32	0 0 4
34.4	100	2 0 2
34.8	30	1 0 4
54.4	35	2 2 0

Lattice parameters (Å, degrees): 6.7514 6.7514 11.5032 90.00 90.00 120.00
Space group P6/mmm (No. 191)
Inequivalent atoms, fractional coordinates:
Pr1 0.0000 0.0000 0.1542 [2 per cell]
Pr2 0.3333 0.6667 0.0000 [2 per cell]
Pr3 0.3333 0.6667 0.5000 [2 per cell]
Nd1 0.0000 0.0000 0.5000 [1 per cell]
Er1 0.0000 0.5000 0.2526 [6 per cell]

---

[5]
For Nd2Bi7O14, a structure optimized by DFT (PBE) gives the theoretical PXRD pattern in this record (a wavelength of 1.5418 Å).
Lines closer than 0.1° are merged.

Peak list (6 most intense, 5 to 70 degrees two-theta, sorted by position)
two_theta	I_rel	index
26.2	48	3 1 -1
27.7	82	6 0 0
27.9	83	0 0 3
29.1	100	3 1 -2
30.0	53	3 1 1
45.1	50	9 1 -2

Lattice parameters (Å, degrees): 21.110 3.932 10.457 90.00 113.64 90.00
Space group Cm (No. 8)
Inequivalent atoms, fractional coordinates:
Nd1 0.000 0.000 0.000 [2 per cell]
Nd2 0.169 0.500 0.015 [2 per cell]
Bi1 0.016 0.500 0.359 [2 per cell]
Bi2 0.162 0.000 0.700 [2 per cell]
Bi3 0.177 0.000 0.337 [2 per cell]
Bi4 0.328 0.500 0.686 [2 per cell]
Bi5 0.343 0.000 0.038 [2 per cell]
Bi6 0.344 0.500 0.338 [2 per cell]
Bi7 0.496 0.000 0.696 [2 per cell]
O1 0.035 0.000 0.476 [2 per cell]
O2 0.039 0.500 0.922 [2 per cell]
O3 0.108 0.500 0.750 [2 per cell]
O4 0.114 0.500 0.337 [2 per cell]
O5 0.128 0.000 0.116 [2 per cell]
O6 0.205 0.000 0.927 [2 per cell]
O7 0.229 0.500 0.696 [2 per cell]
O8 0.234 0.500 0.282 [2 per cell]
O9 0.306 0.500 0.112 [2 per cell]
O10 0.326 0.000 0.594 [2 per cell]
O11 0.375 0.500 0.908 [2 per cell]
O12 0.380 0.000 0.282 [2 per cell]
O13 0.458 0.500 0.747 [2 per cell]
O14 0.466 0.000 0.120 [2 per cell]

---

[6]
For KCdHg, a structure optimized by DFT (PBE) gives the theoretical PXRD pattern in this record (a wavelength of 1.5418 Å).
Lines closer than 0.1° are merged.

Peak list (6 most intense, 5 to 70 degrees two-theta, sorted by position)
two_theta	I_rel	index
19.4	41	0 2 0
21.8	59	2 0 0
29.3	62	2 2 0
29.4	29	3 1 -1
33.9	100	2 0 -2
40.6	37	0 0 2

Lattice parameters (Å, degrees): 9.685 9.172 5.279 90.00 122.66 90.00
Space group Cm (No. 8)
Inequivalent atoms, fractional coordinates:
K1 0.000 0.000 0.000 [2 per cell]
K2 0.009 0.500 0.508 [2 per cell]
Cd1 0.250 0.165 0.749 [4 per cell]
Hg1 0.260 0.329 0.260 [4 per cell]

---

[7]
For Cu2PtF8, a structure optimized by DFT (PBE) gives the theoretical PXRD pattern in this record (a wavelength of 1.5418 Å).
Lines closer than 0.1° are merged.

Peak list (6 most intense, 5 to 70 degrees two-theta, sorted by position)
two_theta	I_rel	index
15.9	58	1 0 0
27.7	100	1 1 0
28.0	77	1 0 1
36.2	42	1 1 1
49.1	36	2 1 1
57.2	25	2 2 0

Lattice parameters (Å, degrees): 6.4451 6.4451 3.8841 90.00 90.00 120.00
Space group P-3m1 (No. 164)
Inequivalent atoms, fractional coordinates:
Cu1 0.3333 0.6667 0.2905 [2 per cell]
Pt1 0.0000 0.0000 0.5000 [1 per cell]
F1 0.1544 0.3088 0.2486 [6 per cell]
F2 0.3333 0.6667 0.7861 [2 per cell]

---

[8]
For Ce3Cd4Ag4, a structure optimized by DFT (PBE) gives the theoretical PXRD pattern in this record (a wavelength of 1.5418 Å).
Lines closer than 0.1° are merged.

Peak list (6 most intense, 5 to 70 degrees two-theta, sorted by position)
two_theta	I_rel	index
33.8	6	1 0 4
35.0	12	3 1 1
35.9	100	0 2 0
38.8	14	4 0 0
53.8	10	4 2 0
64.4	13	2 3 3

Lattice parameters (Å, degrees): 9.280 5.015 11.073 90.00 90.00 90.00
Space group Amm2 (No. 38)
Inequivalent atoms, fractional coordinates:
Ce1 0.000 0.000 0.000 [2 per cell]
Ce2 0.271 0.000 0.142 [4 per cell]
Cd1 0.000 0.000 0.310 [2 per cell]
Cd2 0.293 0.000 0.837 [4 per cell]
Cd3 0.500 0.000 0.374 [2 per cell]
Ag1 0.000 0.000 0.677 [2 per cell]
Ag2 0.227 0.000 0.481 [4 per cell]
Ag3 0.500 0.000 0.641 [2 per cell]